For Ba8Si6Sn, a DFT-relaxed cell (PBE, Alexandria) gives the calculated PXRD pattern in this record (Cu Kα).
Neutral-atom scattering factors, no anomalous dispersion.

Crystal structure
abc: 8.800 8.820 27.538
angles: 90.00 90.00 90.00
Fractional coordinates of all 60 atoms:
Ba1 0.053 0.182 0.085
Ba2 0.053 0.818 0.585
Ba3 0.174 0.130 0.675
Ba4 0.174 0.870 0.175
Ba5 0.185 0.490 0.315
Ba6 0.185 0.510 0.815
Ba7 0.213 0.493 0.478
Ba8 0.213 0.507 0.978
Ba9 0.287 0.007 0.978
Ba10 0.287 0.993 0.478
Ba11 0.315 0.010 0.815
Ba12 0.315 0.990 0.315
Ba13 0.326 0.370 0.175
Ba14 0.326 0.630 0.675
Ba15 0.447 0.318 0.585
Ba16 0.447 0.682 0.085
Ba17 0.553 0.318 0.915
Ba18 0.553 0.682 0.415
Ba19 0.674 0.370 0.325
Ba20 0.674 0.630 0.825
Ba21 0.685 0.010 0.685
Ba22 0.685 0.990 0.185
Ba23 0.713 0.007 0.522
Ba24 0.713 0.993 0.022
Ba25 0.787 0.493 0.022
Ba26 0.787 0.507 0.522
Ba27 0.815 0.490 0.185
Ba28 0.815 0.510 0.685
Ba29 0.826 0.130 0.825
Ba30 0.826 0.870 0.325
Ba31 0.947 0.182 0.415
Ba32 0.947 0.818 0.915
Si1 0.061 0.207 0.546
Si2 0.061 0.793 0.046
Si3 0.070 0.424 0.600
Si4 0.070 0.576 0.100
Si5 0.132 0.233 0.893
Si6 0.132 0.767 0.393
Si7 0.368 0.267 0.393
Si8 0.368 0.733 0.893
Si9 0.430 0.076 0.100
Si10 0.430 0.924 0.600
Si11 0.439 0.293 0.046
Si12 0.439 0.707 0.546
Si13 0.561 0.293 0.454
Si14 0.561 0.707 0.954
Si15 0.570 0.076 0.400
Si16 0.570 0.924 0.900
Si17 0.632 0.267 0.107
Si18 0.632 0.733 0.607
Si19 0.868 0.233 0.607
Si20 0.868 0.767 0.107
Si21 0.930 0.424 0.900
Si22 0.930 0.576 0.400
Si23 0.939 0.207 0.954
Si24 0.939 0.793 0.454
Sn1 0.000 0.172 0.250
Sn2 0.000 0.828 0.750
Sn3 0.500 0.328 0.750
Sn4 0.500 0.672 0.250

Main lines, in order of rising 2θ (2θ = 5–70°):
2θ = 23.5°, intensity 497
2θ = 25.9°, intensity 211
2θ = 27.8°, intensity 295
2θ = 28.1°, intensity 1000
2θ = 28.7°, intensity 353
2θ = 28.8°, intensity 223
2θ = 29.9°, intensity 409
2θ = 30.4°, intensity 266
2θ = 32.1°, intensity 419
2θ = 48.1°, intensity 267